The following is a calculated powder diffraction line list of Mg3InNi2. It was derived from a structure optimized by DFT (GGA-PBE), using Cu Kα (weighted mean of Kα1 and Kα2).
Kinematic intensities with the Lorentz-polarization factor, no thermal factor.

The 10 most intense peaks (10 to 80 degrees two-theta), by angle:
| 2theta | I (rel.) |
| --- | --- |
| 21.21 | 46 |
| 28.92 | 13 |
| 37.78 | 15 |
| 38.81 | 100 |
| 40.77 | 22 |
| 41.82 | 19 |
| 56.82 | 15 |
| 59.83 | 13 |
| 72.91 | 14 |
| 74.35 | 11 |

Cell and atoms:
a = 6.8481 Å, b = 6.8481 Å, c = 3.5119 Å
α = 90.00°, β = 90.00°, γ = 142.29°
Element x y z (fractional)
Mg 0.0000 0.0000 0.0000
Mg 0.1823 0.8177 0.5000
Mg 0.8177 0.1823 0.5000
In 0.5000 0.5000 0.5000
Ni 0.3412 0.6588 0.0000
Ni 0.6588 0.3412 0.0000



The following is a calculated powder diffraction line list of Cs3ErCl6. It was derived from a structure optimized by DFT (GGA-PBE), using Cu Kα (weighted mean of Kα1 and Kα2).
Kinematic intensities with the Lorentz-polarization factor, no thermal factor.

The 10 most intense peaks (10 to 80 degrees two-theta), by angle:
| 2theta | I (rel.) |
| --- | --- |
| 13.28 | 21 |
| 19.96 | 23 |
| 21.29 | 36 |
| 21.83 | 75 |
| 22.08 | 30 |
| 22.51 | 100 |
| 30.86 | 58 |
| 32.25 | 24 |
| 39.41 | 21 |
| 45.95 | 21 |

Cell and atoms:
a = 14.1454 Å, b = 14.1454 Å, c = 13.4511 Å
α = 99.65°, β = 99.65°, γ = 34.32°
Element x y z (fractional)
Cs 0.0266 0.6441 0.1951
Cs 0.1635 0.5316 0.8536
Cs 0.1815 0.7146 0.5602
Cs 0.2854 0.8185 0.9398
Cs 0.3559 0.9734 0.3049
Cs 0.4684 0.8365 0.6464
Cs 0.5316 0.1635 0.3536
Cs 0.6441 0.0266 0.6951
Cs 0.7146 0.1815 0.0602
Cs 0.8185 0.2854 0.4398
Cs 0.8365 0.4684 0.1464
Cs 0.9734 0.3559 0.8049
Er 0.0000 0.5000 0.5000
Er 0.2122 0.7878 0.2500
Er 0.5000 0.0000 0.0000
Er 0.7878 0.2122 0.7500
Cl 0.0378 0.0769 0.1973
Cl 0.0769 0.0378 0.6973
Cl 0.1308 0.3691 0.3212
Cl 0.1467 0.2205 0.5361
Cl 0.1565 0.7311 0.0702
Cl 0.2205 0.1467 0.0361
Cl 0.2616 0.3922 0.5758
Cl 0.2689 0.8435 0.4298
Cl 0.3691 0.1308 0.8212
Cl 0.3729 0.5142 0.3168
Cl 0.3922 0.2616 0.0758
Cl 0.4858 0.6271 0.1832
Cl 0.5142 0.3729 0.8168
Cl 0.6078 0.7384 0.9242
Cl 0.6271 0.4858 0.6832
Cl 0.6309 0.8692 0.1788
Cl 0.7311 0.1565 0.5702
Cl 0.7384 0.6078 0.4242
Cl 0.7795 0.8533 0.9639
Cl 0.8435 0.2689 0.9298
Cl 0.8533 0.7795 0.4639
Cl 0.8692 0.6309 0.6788
Cl 0.9231 0.9622 0.3027
Cl 0.9622 0.9231 0.8027



The following is a calculated powder diffraction line list of Na2TmTiTe4. It was derived from a structure optimized by DFT (GGA-PBE), using Cu Kα (weighted mean of Kα1 and Kα2).
Kinematic intensities with the Lorentz-polarization factor, no thermal factor.

The 10 most intense peaks (10 to 80 degrees two-theta), by angle:
| 2theta | I (rel.) |
| --- | --- |
| 11.65 | 34 |
| 25.61 | 9 |
| 29.00 | 100 |
| 36.96 | 13 |
| 40.03 | 12 |
| 40.16 | 25 |
| 42.71 | 23 |
| 42.94 | 12 |
| 52.62 | 12 |
| 60.14 | 7 |

Cell and atoms:
a = 7.3455 Å, b = 4.2125 Å, c = 7.9747 Å
α = 90.00°, β = 107.77°, γ = 90.00°
Element x y z (fractional)
Na 0.0000 0.0000 0.0000
Na 0.5000 0.5000 0.0000
Tm 0.0000 0.5000 0.5000
Ti 0.5000 0.0000 0.5000
Te 0.2562 0.0000 0.7255
Te 0.2760 0.5000 0.2843
Te 0.7240 0.5000 0.7157
Te 0.7438 0.0000 0.2745



The following is a calculated powder diffraction line list of Li4SmEr3Se8. It was derived from a structure optimized by DFT (GGA-PBE), using Cu Kα (weighted mean of Kα1 and Kα2).
Kinematic intensities with the Lorentz-polarization factor, no thermal factor.

The 10 most intense peaks (10 to 80 degrees two-theta), by angle:
| 2theta | I (rel.) |
| --- | --- |
| 13.63 | 52 |
| 25.70 | 38 |
| 31.33 | 100 |
| 34.31 | 19 |
| 44.55 | 38 |
| 45.25 | 36 |
| 46.81 | 15 |
| 55.48 | 20 |
| 73.78 | 17 |
| 74.81 | 16 |

Cell and atoms:
a = 8.0169 Å, b = 8.0169 Å, c = 8.0169 Å
α = 60.97°, β = 60.97°, γ = 60.97°
Element x y z (fractional)
Li 0.0000 0.0000 0.0000
Li 0.0000 0.5000 0.5000
Li 0.5000 0.0000 0.5000
Li 0.5000 0.5000 0.0000
Sm 0.5000 0.5000 0.5000
Er 0.0000 0.0000 0.5000
Er 0.0000 0.5000 0.0000
Er 0.5000 0.0000 0.0000
Se 0.2448 0.7544 0.7544
Se 0.2456 0.2456 0.7552
Se 0.2456 0.7552 0.2456
Se 0.2502 0.2502 0.2502
Se 0.7498 0.7498 0.7498
Se 0.7544 0.2448 0.7544
Se 0.7544 0.7544 0.2448
Se 0.7552 0.2456 0.2456



The following is a calculated powder diffraction line list of Na8B9C7. It was derived from a structure optimized by DFT (GGA-PBE), using Cu Kα (weighted mean of Kα1 and Kα2).
Kinematic intensities with the Lorentz-polarization factor, no thermal factor.

The 10 most intense peaks (10 to 80 degrees two-theta), by angle:
| 2theta | I (rel.) |
| --- | --- |
| 36.19 | 9 |
| 36.65 | 17 |
| 42.22 | 50 |
| 42.62 | 100 |
| 42.75 | 39 |
| 57.55 | 9 |
| 65.39 | 17 |
| 66.28 | 9 |
| 77.93 | 8 |
| 78.20 | 12 |

Cell and atoms:
a = 2.8205 Å, b = 16.9197 Å, c = 4.9636 Å
α = 90.00°, β = 90.00°, γ = 90.00°
Element x y z (fractional)
Na 0.0000 0.1242 0.0000
Na 0.0000 0.3723 0.9997
Na 0.0000 0.6277 0.9997
Na 0.0000 0.8758 0.0000
Na 0.5000 0.1242 0.5000
Na 0.5000 0.3734 0.5014
Na 0.5000 0.6266 0.5014
Na 0.5000 0.8758 0.5000
B 0.0000 0.0000 0.6676
B 0.0000 0.2483 0.3326
B 0.0000 0.5000 0.3457
B 0.0000 0.5000 0.6784
B 0.0000 0.7517 0.3326
B 0.5000 0.0000 0.1676
B 0.5000 0.2483 0.8325
B 0.5000 0.5000 0.1401
B 0.5000 0.7517 0.8325
C 0.0000 0.0000 0.3340
C 0.0000 0.2484 0.6660
C 0.0000 0.7516 0.6660
C 0.5000 0.0000 0.8340
C 0.5000 0.2482 0.1661
C 0.5000 0.5000 0.8338
C 0.5000 0.7518 0.1661



The following is a calculated powder diffraction line list of Pu3Si4Pd. It was derived from a structure optimized by DFT (GGA-PBE), using Cu Kα (weighted mean of Kα1 and Kα2).
Kinematic intensities with the Lorentz-polarization factor, no thermal factor.

The 10 most intense peaks (10 to 80 degrees two-theta), by angle:
| 2theta | I (rel.) |
| --- | --- |
| 20.57 | 100 |
| 22.68 | 91 |
| 31.53 | 23 |
| 34.68 | 42 |
| 35.09 | 51 |
| 38.59 | 37 |
| 40.62 | 52 |
| 41.84 | 38 |
| 48.42 | 32 |
| 52.81 | 26 |

Cell and atoms:
a = 8.8137 Å, b = 8.8137 Å, c = 8.8137 Å
α = 161.15°, β = 127.16°, γ = 56.60°
Element x y z (fractional)
Pu 0.0000 0.0000 0.0000
Pu 0.3384 0.8384 0.5000
Pu 0.6616 0.1616 0.5000
Si 0.0354 0.1824 0.8530
Si 0.3295 0.1824 0.1470
Si 0.6705 0.8176 0.8530
Si 0.9646 0.8176 0.1470
Pd 0.5000 0.5000 0.0000



The following is a calculated powder diffraction line list of Cs2BeAlI6. It was derived from a structure optimized by DFT (GGA-PBE), using Cu Kα (weighted mean of Kα1 and Kα2).
Kinematic intensities with the Lorentz-polarization factor, no thermal factor.

The 10 most intense peaks (10 to 80 degrees two-theta), by angle:
| 2theta | I (rel.) |
| --- | --- |
| 26.95 | 100 |
| 30.95 | 20 |
| 31.36 | 38 |
| 44.64 | 28 |
| 44.94 | 14 |
| 52.65 | 15 |
| 53.18 | 29 |
| 55.56 | 15 |
| 71.66 | 12 |
| 73.47 | 6 |

Cell and atoms:
a = 8.1212 Å, b = 8.1212 Å, c = 8.1212 Å
α = 120.43°, β = 120.43°, γ = 89.26°
Element x y z (fractional)
Cs 0.2500 0.7500 0.5000
Cs 0.7500 0.2500 0.5000
Be 0.0000 0.0000 0.0000
Al 0.5000 0.5000 0.0000
I 0.2415 0.2415 0.4830
I 0.2415 0.7585 0.0000
I 0.2475 0.2475 0.0000
I 0.7525 0.7525 0.0000
I 0.7585 0.2415 0.0000
I 0.7585 0.7585 0.5170



The following is a calculated powder diffraction line list of BaIn5I7. It was derived from a structure optimized by DFT (GGA-PBE), using Cu Kα (weighted mean of Kα1 and Kα2).
Kinematic intensities with the Lorentz-polarization factor, no thermal factor.

The 10 most intense peaks (10 to 80 degrees two-theta), by angle:
| 2theta | I (rel.) |
| --- | --- |
| 23.82 | 60 |
| 25.20 | 100 |
| 26.12 | 85 |
| 26.61 | 35 |
| 33.59 | 39 |
| 35.04 | 27 |
| 35.98 | 33 |
| 36.24 | 67 |
| 37.10 | 43 |
| 44.57 | 24 |

Cell and atoms:
a = 8.6239 Å, b = 8.6239 Å, c = 29.3102 Å
α = 90.03°, β = 90.03°, γ = 32.64°
Element x y z (fractional)
Ba 0.0000 0.0000 0.0000
Ba 0.5825 0.5825 0.5001
In 0.0481 0.0481 0.6669
In 0.0845 0.0845 0.3119
In 0.2317 0.2317 0.8848
In 0.2676 0.2676 0.0921
In 0.3146 0.3146 0.5920
In 0.3511 0.3511 0.3847
In 0.4977 0.4977 0.8120
In 0.5338 0.5338 0.1669
In 0.7721 0.7721 0.7381
In 0.8099 0.8099 0.2379
I 0.0024 0.0024 0.4210
I 0.1395 0.1395 0.7787
I 0.1705 0.1705 0.2021
I 0.2335 0.2335 0.4868
I 0.3489 0.3489 0.9869
I 0.4115 0.4115 0.7020
I 0.4427 0.4427 0.2785
I 0.5801 0.5801 0.9211
I 0.6167 0.6167 0.0606
I 0.6727 0.6727 0.6139
I 0.7262 0.7262 0.3420
I 0.8563 0.8563 0.8422
I 0.9097 0.9097 0.1137
I 0.9658 0.9658 0.5606



The following is a calculated powder diffraction line list of Pb3Se2S. It was derived from a structure optimized by DFT (GGA-PBE), using Cu Kα (weighted mean of Kα1 and Kα2).
Kinematic intensities with the Lorentz-polarization factor, no thermal factor.

The 10 most intense peaks (10 to 80 degrees two-theta), by angle:
| 2theta | I (rel.) |
| --- | --- |
| 25.12 | 50 |
| 29.08 | 100 |
| 41.60 | 76 |
| 49.21 | 27 |
| 51.56 | 27 |
| 60.29 | 13 |
| 66.35 | 8 |
| 66.38 | 3 |
| 68.31 | 35 |
| 75.91 | 26 |

Cell and atoms:
a = 7.5223 Å, b = 7.5223 Å, c = 7.5206 Å
α = 99.59°, β = 99.59°, γ = 120.05°
Element x y z (fractional)
Pb 0.0000 0.5000 0.5000
Pb 0.1603 0.3210 0.0017
Pb 0.3210 0.1603 0.5017
Pb 0.5000 0.0000 0.0000
Pb 0.6790 0.8397 0.4983
Pb 0.8397 0.6790 0.9983
Se 0.2531 0.7469 0.2500
Se 0.4173 0.5827 0.7500
Se 0.5827 0.4173 0.2500
Se 0.7469 0.2531 0.7500
S 0.0855 0.9145 0.7500
S 0.9145 0.0855 0.2500